Record 1
Computed XRD peak list of DyTh4As6 for Cu Ka, from a cell relaxed with PBE.

Principal peaks in the range 5 to 70 degrees two-theta, low angle first:
- 2θ = 23.98°, 3.711 Å, I = 60.7
- 2θ = 26.41°, 3.375 Å, I = 100.0
- 2θ = 30.45°, 2.936 Å, I = 60.5
- 2θ = 32.49°, 2.756 Å, I = 68.9
- 2θ = 34.19°, 2.622 Å, I = 73.4
- 2θ = 35.97°, 2.497 Å, I = 68.4
- 2θ = 46.55°, 1.951 Å, I = 69.1
- 2θ = 65.87°, 1.418 Å, I = 21.1

Structure:
Cell lengths 8.285, 8.285, 8.285 Å; angles 89.74, 89.74, 89.74 degrees
Fractional coordinates of all 22 atoms:
Dy 0.000 0.000 0.000
Dy 0.500 0.500 0.500
Th 0.134 0.750 0.366
Th 0.250 0.250 0.250
Th 0.250 0.634 0.866
Th 0.366 0.134 0.750
Th 0.634 0.866 0.250
Th 0.750 0.366 0.134
Th 0.750 0.750 0.750
Th 0.866 0.250 0.634
As 0.064 0.917 0.678
As 0.083 0.322 0.936
As 0.178 0.417 0.564
As 0.322 0.936 0.083
As 0.417 0.564 0.178
As 0.436 0.822 0.583
As 0.564 0.178 0.417
As 0.583 0.436 0.822
As 0.678 0.064 0.917
As 0.822 0.583 0.436
As 0.917 0.678 0.064
As 0.936 0.083 0.322

***

Record 2
Computed XRD peak list of In5Ga6 for Cu Ka, from a cell relaxed with PBE.

Principal peaks in the range 5 to 70 degrees two-theta, low angle first:
- 2θ = 30.34°, 2.946 Å, I = 24.2
- 2θ = 32.02°, 2.795 Å, I = 100.0
- 2θ = 32.67°, 2.741 Å, I = 74.6
- 2θ = 33.24°, 2.695 Å, I = 91.6
- 2θ = 35.34°, 2.540 Å, I = 53.9
- 2θ = 42.14°, 2.144 Å, I = 76.2
- 2θ = 43.34°, 2.088 Å, I = 47.7
- 2θ = 46.90°, 1.937 Å, I = 23.2

Structure:
Cell lengths 6.650, 6.650, 7.418 Å; angles 99.86, 99.86, 123.28 degrees
Fractional coordinates of all 11 atoms:
In 0.000 0.000 0.000
In 0.141 0.859 0.500
In 0.273 0.727 0.000
In 0.727 0.273 0.000
In 0.859 0.141 0.500
Ga 0.226 0.476 0.316
Ga 0.347 0.347 0.802
Ga 0.476 0.226 0.316
Ga 0.524 0.774 0.684
Ga 0.653 0.653 0.198
Ga 0.774 0.524 0.684

***

Record 3
Computed XRD peak list of ErPaNi2P2 for Cu Ka, from a cell relaxed with PBE.

Principal peaks in the range 5 to 70 degrees two-theta, low angle first:
- 2θ = 23.17°, 3.839 Å, I = 8.0
- 2θ = 26.48°, 3.366 Å, I = 38.3
- 2θ = 35.47°, 2.531 Å, I = 100.0
- 2θ = 46.75°, 1.943 Å, I = 32.9
- 2θ = 47.36°, 1.919 Å, I = 9.9
- 2θ = 55.08°, 1.667 Å, I = 12.2
- 2θ = 60.03°, 1.541 Å, I = 21.9
- 2θ = 68.74°, 1.365 Å, I = 19.4

Structure:
Cell lengths 3.886, 3.886, 7.677 Å; angles 90.00, 90.00, 120.00 degrees
Fractional coordinates of all 6 atoms:
Er 0.000 0.000 0.000
Pa 0.000 0.000 0.500
Ni 0.333 0.667 0.270
Ni 0.667 0.333 0.730
P 0.333 0.667 0.759
P 0.667 0.333 0.241

***

Record 4
Computed XRD peak list of CsNpSn2I8 for Cu Ka, from a cell relaxed with PBE.

Principal peaks in the range 5 to 70 degrees two-theta, low angle first:
- 2θ = 16.10°, 5.504 Å, I = 100.0
- 2θ = 16.72°, 5.302 Å, I = 69.9
- 2θ = 22.03°, 4.035 Å, I = 98.9
- 2θ = 24.19°, 3.680 Å, I = 61.1
- 2θ = 24.30°, 3.663 Å, I = 80.9
- 2θ = 25.34°, 3.514 Å, I = 96.2
- 2θ = 29.48°, 3.030 Å, I = 74.2
- 2θ = 32.74°, 2.735 Å, I = 61.3

Structure:
Cell lengths 7.520, 7.857, 10.281 Å; angles 83.79, 84.39, 87.27 degrees
Fractional coordinates of all 12 atoms:
Cs 0.000 0.000 0.000
Np 0.000 0.000 0.500
Sn 0.478 0.490 0.247
Sn 0.522 0.510 0.753
I 0.234 0.327 0.482
I 0.252 0.838 0.705
I 0.259 0.398 0.046
I 0.267 0.854 0.286
I 0.733 0.146 0.714
I 0.741 0.602 0.954
I 0.748 0.162 0.295
I 0.766 0.673 0.518

***

Record 5
Computed XRD peak list of Ac4TlGa2 for Cu Ka, from a cell relaxed with PBE.

Principal peaks in the range 5 to 70 degrees two-theta, low angle first:
- 2θ = 21.88°, 4.063 Å, I = 22.6
- 2θ = 25.38°, 3.509 Å, I = 16.2
- 2θ = 28.34°, 3.150 Å, I = 100.0
- 2θ = 28.53°, 3.129 Å, I = 59.6
- 2θ = 33.65°, 2.663 Å, I = 50.7
- 2θ = 33.76°, 2.655 Å, I = 60.1
- 2θ = 44.71°, 2.027 Å, I = 19.4
- 2θ = 46.64°, 1.947 Å, I = 21.1

Structure:
Cell lengths 8.620, 8.594, 9.965 Å; angles 54.75, 54.50, 70.74 degrees
Fractional coordinates of all 14 atoms:
Ac 0.073 0.927 0.173
Ac 0.077 0.423 0.177
Ac 0.208 0.554 0.694
Ac 0.423 0.077 0.323
Ac 0.554 0.208 0.545
Ac 0.556 0.705 0.042
Ac 0.705 0.556 0.696
Ac 0.927 0.073 0.827
Tl 0.690 0.690 0.310
Tl 0.940 0.940 0.560
Ga 0.185 0.446 0.435
Ga 0.316 0.815 0.804
Ga 0.446 0.185 0.934
Ga 0.815 0.316 0.065

***

Record 6
Computed XRD peak list of Pm2Nd6Ga for Cu Ka, from a cell relaxed with PBE.

Principal peaks in the range 5 to 70 degrees two-theta, low angle first:
- 2θ = 30.01°, 2.978 Å, I = 17.5
- 2θ = 31.00°, 2.885 Å, I = 100.0
- 2θ = 31.32°, 2.856 Å, I = 60.9
- 2θ = 32.06°, 2.792 Å, I = 42.1
- 2θ = 45.17°, 2.007 Å, I = 19.7
- 2θ = 55.26°, 1.662 Å, I = 10.2
- 2θ = 56.49°, 1.629 Å, I = 13.2
- 2θ = 56.68°, 1.624 Å, I = 11.3

Structure:
Cell lengths 10.105, 10.560, 5.583 Å; angles 90.00, 90.00, 90.00 degrees
Fractional coordinates of all 18 atoms:
Pm 0.193 0.247 0.000
Pm 0.307 0.747 0.500
Pm 0.693 0.253 0.500
Pm 0.807 0.753 0.000
Nd 0.018 0.305 0.500
Nd 0.133 0.897 0.000
Nd 0.192 0.570 0.000
Nd 0.308 0.070 0.500
Nd 0.367 0.397 0.500
Nd 0.482 0.805 0.000
Nd 0.518 0.195 0.000
Nd 0.633 0.603 0.500
Nd 0.692 0.930 0.500
Nd 0.808 0.430 0.000
Nd 0.867 0.103 0.000
Nd 0.982 0.695 0.500
Ga 0.000 0.000 0.500
Ga 0.500 0.500 0.000

***

Record 7
Computed XRD peak list of Rb3Zr3Te8Pd for Cu Ka, from a cell relaxed with PBE.

Principal peaks in the range 5 to 70 degrees two-theta, low angle first:
- 2θ = 10.17°, 8.698 Å, I = 61.2
- 2θ = 27.73°, 3.217 Å, I = 58.5
- 2θ = 28.34°, 3.149 Å, I = 100.0
- 2θ = 34.54°, 2.597 Å, I = 25.4
- 2θ = 37.67°, 2.388 Å, I = 34.8
- 2θ = 42.35°, 2.134 Å, I = 32.4
- 2θ = 44.79°, 2.023 Å, I = 17.2
- 2θ = 53.50°, 1.713 Å, I = 17.1

Structure:
Cell lengths 8.557, 8.557, 10.193 Å; angles 117.35, 117.35, 56.45 degrees
Fractional coordinates of all 15 atoms:
Rb 0.000 0.000 0.000
Rb 0.000 0.500 0.000
Rb 0.500 0.000 0.000
Zr 0.000 0.500 0.500
Zr 0.500 0.000 0.500
Zr 0.500 0.500 0.500
Te 0.212 0.750 0.676
Te 0.250 0.788 0.324
Te 0.269 0.269 0.304
Te 0.276 0.276 0.719
Te 0.724 0.724 0.281
Te 0.731 0.731 0.696
Te 0.750 0.212 0.676
Te 0.788 0.250 0.324
Pd 0.000 0.000 0.500

***

Record 8
Computed XRD peak list of La3Sm5Sc for Cu Ka, from a cell relaxed with PBE.

Principal peaks in the range 5 to 70 degrees two-theta, low angle first:
- 2θ = 27.00°, 3.303 Å, I = 90.0
- 2θ = 27.24°, 3.274 Å, I = 100.0
- 2θ = 28.59°, 3.122 Å, I = 77.2
- 2θ = 30.55°, 2.926 Å, I = 38.7
- 2θ = 30.79°, 2.904 Å, I = 63.5
- 2θ = 31.70°, 2.823 Å, I = 85.7
- 2θ = 32.75°, 2.734 Å, I = 37.7
- 2θ = 34.30°, 2.614 Å, I = 56.3

Structure:
Cell lengths 8.011, 8.011, 11.692 Å; angles 95.69, 95.69, 60.22 degrees
Fractional coordinates of all 18 atoms:
La 0.000 0.000 0.000
La 0.000 0.000 0.500
La 0.264 0.264 0.471
La 0.333 0.333 0.778
La 0.667 0.667 0.222
La 0.736 0.736 0.529
Sm 0.086 0.667 0.240
Sm 0.246 0.246 0.039
Sm 0.330 0.670 0.000
Sm 0.333 0.914 0.760
Sm 0.495 0.495 0.631
Sm 0.505 0.505 0.369
Sm 0.667 0.086 0.240
Sm 0.670 0.330 0.000
Sm 0.754 0.754 0.961
Sm 0.914 0.333 0.760
Sc 0.096 0.096 0.252
Sc 0.904 0.904 0.748